MgMn2V2Bi2O10: theoretical powder diffraction line list (Cu Kα (weighted mean of Kα1 and Kα2)), based on a cell relaxed with PBE+U.
No peak broadening, texture or thermal motion is included.

Largest 12 diffraction maxima, sorted by position, 15° ≤ 2θ ≤ 90°:
Position (°2θ), intensity, hkl
15.07, 553, 0 1 -1
17.98, 1000, 1 0 -1
21.48, 859, 1 1 -1
23.21, 259, 1 0 1
25.83, 240, 0 2 -1
28.53, 770, 0 0 2
28.80, 286, 1 0 -2
28.90, 692, 1 -2 0
30.44, 550, 0 2 -2
32.33, 278, 1 1 1
34.05, 556, 2 -1 1
39.36, 361, 1 1 -3

```
data_MgMn2V2Bi2O10
_chemical_formula_sum 'Mg1 Mn2 V2 Bi2 O10'
_cell_length_a 6.1399
_cell_length_b 7.0102
_cell_length_c 7.0481
_cell_angle_alpha 113.58
_cell_angle_beta 99.04
_cell_angle_gamma 99.60
_space_group_name_H-M_alt 'P 1'
_space_group_IT_number 1
_space_group_name_Hall 'P 1'
loop_
_atom_site_label
_atom_site_fract_x
_atom_site_fract_y
_atom_site_fract_z
Mg1 0.0000 0.0000 0.0000
Mn1 0.1309 0.4567 0.9679
Mn2 0.6253 0.8014 0.5894
V1 0.0396 0.5001 0.4703
V2 0.7334 0.7406 0.1232
Bi1 0.2315 0.0592 0.5381
Bi2 0.5606 0.2010 0.0543
O1 0.0234 0.7472 0.0687
O2 0.1526 0.3924 0.6527
O3 0.1723 0.1057 0.8437
O4 0.2681 0.7154 0.4906
O5 0.4978 0.5211 0.0723
O6 0.5963 0.1328 0.7422
O7 0.6655 0.8700 0.9399
O8 0.7724 0.5430 0.5033
O9 0.8179 0.9171 0.4019
O10 0.9685 0.3067 0.1690
```